[1]
For CaEuTl2, DFT lattice parameters and positions (GGA-PBE) gives the theoretical powder X-ray diffraction pattern in this record (a wavelength of 1.5418 Å).
No peak broadening, texture or thermal motion is included.

Cell and atoms:
```
data_CaEuTl2
_space_group_name_H-M_alt 'F m -3 m'
_space_group_IT_number 225
_space_group_name_Hall '-F 4 2 3'
_cell_length_a 7.853
_cell_length_b 7.853
_cell_length_c 7.853
_cell_angle_alpha 90.00
_cell_angle_beta 90.00
_cell_angle_gamma 90.00
loop_
_atom_site_label
_atom_site_type_symbol
_atom_site_fract_x
_atom_site_fract_y
_atom_site_fract_z
_atom_site_occupancy
Ca1 Ca 0.000 0.000 0.000 1
Eu1 Eu 0.000 0.000 0.500 1
Tl1 Tl 0.250 0.250 0.250 1
```

Peak list (12 most intense, 10° ≤ 2θ ≤ 90°, low angle first)
2θ = 19.6°, 4.534 Å, intensity 7.5, hkl 1 1 1
2θ = 22.6°, 3.927 Å, intensity 13.8, hkl 2 0 0
2θ = 32.2°, 2.777 Å, intensity 100.0, hkl 2 2 0
2θ = 38.0°, 2.368 Å, intensity 4.5, hkl 3 1 1
2θ = 39.8°, 2.267 Å, intensity 4.5, hkl 2 2 2
2θ = 46.2°, 1.963 Å, intensity 18.5, hkl 4 0 0
2θ = 52.1°, 1.756 Å, intensity 6.5, hkl 4 2 0
2θ = 57.5°, 1.603 Å, intensity 38.8, hkl 4 2 2
2θ = 67.5°, 1.388 Å, intensity 12.0, hkl 4 4 0
2θ = 72.2°, 1.309 Å, intensity 3.2, hkl 6 0 0
2θ = 76.8°, 1.242 Å, intensity 16.7, hkl 6 2 0
2θ = 85.7°, 1.134 Å, intensity 4.3, hkl 4 4 4


[2]
For CaEuZn2, DFT lattice parameters and positions (GGA-PBE) gives the theoretical powder X-ray diffraction pattern in this record (a wavelength of 1.5418 Å).
No peak broadening, texture or thermal motion is included.

Cell and atoms:
```
data_CaEuZn2
_space_group_name_H-M_alt 'F m -3 m'
_space_group_IT_number 225
_space_group_name_Hall '-F 4 2 3'
_cell_length_a 7.422
_cell_length_b 7.422
_cell_length_c 7.422
_cell_angle_alpha 90.00
_cell_angle_beta 90.00
_cell_angle_gamma 90.00
loop_
_atom_site_label
_atom_site_type_symbol
_atom_site_fract_x
_atom_site_fract_y
_atom_site_fract_z
_atom_site_occupancy
Ca1 Ca 0.000 0.000 0.000 1
Eu1 Eu 0.000 0.000 0.500 1
Zn1 Zn 0.250 0.250 0.250 1
```

Peak list (12 most intense, 10° ≤ 2θ ≤ 90°, low angle first)
2θ = 20.7°, 4.285 Å, intensity 23.5, hkl 1 1 1
2θ = 24.0°, 3.711 Å, intensity 2.9, hkl 2 0 0
2θ = 34.2°, 2.624 Å, intensity 100.0, hkl 2 2 0
2θ = 40.3°, 2.238 Å, intensity 13.7, hkl 3 1 1
2θ = 49.1°, 1.855 Å, intensity 17.5, hkl 4 0 0
2θ = 53.8°, 1.703 Å, intensity 6.0, hkl 3 3 1
2θ = 61.2°, 1.515 Å, intensity 35.2, hkl 4 2 2
2θ = 65.3°, 1.428 Å, intensity 4.6, hkl 5 1 1
2θ = 72.0°, 1.312 Å, intensity 10.7, hkl 4 4 0
2θ = 75.8°, 1.254 Å, intensity 4.6, hkl 5 3 1
2θ = 82.1°, 1.173 Å, intensity 14.9, hkl 6 2 0
2θ = 85.9°, 1.132 Å, intensity 1.7, hkl 5 3 3


[3]
For Ca2F, DFT lattice parameters and positions (GGA-PBE) gives the theoretical powder X-ray diffraction pattern in this record (a wavelength of 1.5418 Å).
No peak broadening, texture or thermal motion is included.

Cell and atoms:
```
data_Ca2F
_space_group_name_H-M_alt 'C 1 m 1'
_space_group_IT_number 8
_cell_length_a 27.913
_cell_length_b 3.941
_cell_length_c 7.920
_cell_angle_alpha 90.00
_cell_angle_beta 98.12
_cell_angle_gamma 90.00
loop_
_space_group_symop_operation_xyz
'x,y,z'
'x,-y,z'
'x+1/2,y+1/2,z'
'x+1/2,-y+1/2,z'
loop_
_atom_site_label
_atom_site_type_symbol
_atom_site_fract_x
_atom_site_fract_y
_atom_site_fract_z
_atom_site_occupancy
Ca1 Ca 0.000 0.000 0.000 1
Ca2 Ca 0.000 0.000 0.497 1
Ca3 Ca 0.094 0.500 0.299 1
Ca4 Ca 0.104 0.500 0.797 1
Ca5 Ca 0.195 0.000 0.102 1
Ca6 Ca 0.204 0.000 0.600 1
Ca7 Ca 0.299 0.500 0.399 1
Ca8 Ca 0.301 0.500 0.896 1
Ca9 Ca 0.393 0.000 0.197 1
Ca10 Ca 0.406 0.000 0.701 1
F1 F 0.046 0.000 0.272 1
F2 F 0.155 0.000 0.820 1
F3 F 0.251 0.500 0.630 1
F4 F 0.346 0.500 0.171 1
F5 F 0.454 0.500 0.726 1
```

Peak list (12 most intense, 10° ≤ 2θ ≤ 90°, low angle first)
2θ = 18.3°, 4.854 Å, intensity 11.8, hkl 4 0 1
2θ = 20.9°, 4.241 Å, intensity 10.1, hkl 6 0 -1
2θ = 27.7°, 3.219 Å, intensity 91.2, hkl 4 0 2
2θ = 27.8°, 3.208 Å, intensity 100.0, hkl 5 1 0
2θ = 32.0°, 2.793 Å, intensity 38.4, hkl 1 1 -2
2θ = 32.4°, 2.763 Å, intensity 17.1, hkl 10 0 0
2θ = 45.8°, 1.980 Å, intensity 16.5, hkl 2 0 -4
2θ = 46.1°, 1.970 Å, intensity 16.2, hkl 0 2 0
2θ = 46.2°, 1.964 Å, intensity 60.0, hkl 9 1 2
2θ = 54.5°, 1.685 Å, intensity 26.2, hkl 3 1 4
2θ = 54.6°, 1.680 Å, intensity 23.3, hkl 4 2 2
2θ = 55.0°, 1.670 Å, intensity 20.8, hkl 14 0 2


[4]
For CaF, DFT lattice parameters and positions (GGA-PBE) gives the theoretical powder X-ray diffraction pattern in this record (a wavelength of 1.5418 Å).
No peak broadening, texture or thermal motion is included.

Cell and atoms:
```
data_CaF
_space_group_name_H-M_alt 'P 63 m c'
_space_group_IT_number 186
_space_group_name_Hall 'P 6c -2c'
_cell_length_a 3.9532
_cell_length_b 3.9532
_cell_length_c 6.4364
_cell_angle_alpha 90.00
_cell_angle_beta 90.00
_cell_angle_gamma 120.00
loop_
_atom_site_label
_atom_site_type_symbol
_atom_site_fract_x
_atom_site_fract_y
_atom_site_fract_z
_atom_site_occupancy
Ca1 Ca 0.3333 0.6667 0.0000 1
F1 F 0.3333 0.6667 0.3752 1
```

Peak list (12 most intense, 10° ≤ 2θ ≤ 90°, low angle first)
2θ = 26.0°, 3.424 Å, intensity 93.3, hkl 1 0 0
2θ = 27.7°, 3.218 Å, intensity 59.1, hkl 0 0 2
2θ = 29.6°, 3.023 Å, intensity 100.0, hkl 1 0 1
2θ = 38.4°, 2.345 Å, intensity 34.5, hkl 1 0 2
2θ = 45.9°, 1.977 Å, intensity 68.1, hkl 1 1 0
2θ = 50.2°, 1.818 Å, intensity 66.0, hkl 1 0 3
2θ = 54.5°, 1.684 Å, intensity 44.0, hkl 1 1 2
2θ = 55.6°, 1.654 Å, intensity 15.0, hkl 2 0 1
2θ = 70.4°, 1.338 Å, intensity 20.4, hkl 2 0 3
2θ = 74.8°, 1.269 Å, intensity 11.8, hkl 2 1 1
2θ = 79.6°, 1.205 Å, intensity 13.7, hkl 1 0 5
2θ = 88.2°, 1.108 Å, intensity 20.7, hkl 2 1 3


[5]
For LiCaGaF6, DFT lattice parameters and positions (GGA-PBE) gives the theoretical powder X-ray diffraction pattern in this record (a wavelength of 1.5418 Å).
No peak broadening, texture or thermal motion is included.

Cell and atoms:
```
data_LiCaGaF6
_space_group_name_H-M_alt 'P -3 1 c'
_space_group_IT_number 163
_space_group_name_Hall '-P 3 2c'
_cell_length_a 5.1702
_cell_length_b 5.1702
_cell_length_c 9.8781
_cell_angle_alpha 90.00
_cell_angle_beta 90.00
_cell_angle_gamma 120.00
loop_
_atom_site_label
_atom_site_type_symbol
_atom_site_fract_x
_atom_site_fract_y
_atom_site_fract_z
_atom_site_occupancy
Li1 Li 0.3333 0.6667 0.2500 1
Ca1 Ca 0.0000 0.0000 0.0000 1
Ga1 Ga 0.3333 0.6667 0.7500 1
F1 F 0.0191 0.3661 0.6403 1
```

Peak list (12 most intense, 10° ≤ 2θ ≤ 90°, low angle first)
2θ = 18.0°, 4.939 Å, intensity 21.6, hkl 0 0 2
2θ = 21.8°, 4.078 Å, intensity 100.0, hkl 1 0 1
2θ = 26.9°, 3.317 Å, intensity 99.9, hkl 1 0 2
2θ = 33.8°, 2.653 Å, intensity 23.7, hkl 1 0 3
2θ = 34.7°, 2.585 Å, intensity 14.3, hkl 1 1 0
2θ = 39.3°, 2.290 Å, intensity 49.4, hkl 1 1 2
2θ = 44.4°, 2.039 Å, intensity 20.9, hkl 2 0 2
2θ = 51.2°, 1.786 Å, intensity 67.2, hkl 1 1 4
2θ = 55.1°, 1.668 Å, intensity 11.3, hkl 2 1 1
2θ = 57.6°, 1.601 Å, intensity 21.3, hkl 2 1 2
2θ = 62.2°, 1.493 Å, intensity 27.1, hkl 3 0 0
2θ = 84.6°, 1.145 Å, intensity 12.2, hkl 4 -2 4


[6]
For NaCa2GeO4F, DFT lattice parameters and positions (GGA-PBE) gives the theoretical powder X-ray diffraction pattern in this record (a wavelength of 1.5418 Å).
No peak broadening, texture or thermal motion is included.

Cell and atoms:
```
data_NaCa2GeO4F
_space_group_name_H-M_alt 'P 1'
_space_group_IT_number 1
_cell_length_a 5.553
_cell_length_b 7.396
_cell_length_c 12.700
_cell_angle_alpha 89.90
_cell_angle_beta 89.68
_cell_angle_gamma 89.92
loop_
_space_group_symop_operation_xyz
'x,y,z'
loop_
_atom_site_label
_atom_site_type_symbol
_atom_site_fract_x
_atom_site_fract_y
_atom_site_fract_z
_atom_site_occupancy
Na1 Na 0.000 0.000 0.000 1
Na2 Na 0.004 0.766 0.247 1
Na3 Na 0.505 0.501 0.834 1
Na4 Na 0.547 0.001 0.322 1
Ca1 Ca 0.044 0.258 0.759 1
Ca2 Ca 0.046 0.507 0.490 1
Ca3 Ca 0.047 0.987 0.485 1
Ca4 Ca 0.498 0.013 0.838 1
Ca5 Ca 0.502 0.750 0.573 1
Ca6 Ca 0.544 0.245 0.070 1
Ca7 Ca 0.552 0.524 0.325 1
Ca8 Ca 0.996 0.495 0.994 1
Ge1 Ge 0.068 0.257 0.247 1
Ge2 Ge 0.470 0.747 0.080 1
Ge3 Ge 0.568 0.245 0.580 1
Ge4 Ge 0.974 0.756 0.746 1
O1 O 0.057 0.556 0.813 1
O2 O 0.082 0.745 0.613 1
O3 O 0.085 0.955 0.806 1
O4 O 0.151 0.737 0.076 1
O5 O 0.392 0.275 0.239 1
O6 O 0.462 0.250 0.711 1
O7 O 0.467 0.048 0.514 1
O8 O 0.472 0.445 0.511 1
O9 O 0.562 0.947 0.011 1
O10 O 0.573 0.754 0.211 1
O11 O 0.584 0.549 0.015 1
O12 O 0.651 0.771 0.740 1
O13 O 0.896 0.247 0.581 1
O14 O 0.953 0.259 0.116 1
O15 O 0.961 0.449 0.319 1
O16 O 0.989 0.060 0.317 1
F1 F 0.268 0.255 0.924 1
F2 F 0.277 0.740 0.410 1
F3 F 0.769 0.246 0.898 1
F4 F 0.779 0.743 0.436 1
```

Peak list (12 most intense, 10° ≤ 2θ ≤ 90°, low angle first)
2θ = 21.2°, 4.193 Å, intensity 52.1, hkl 1 1 1
2θ = 24.2°, 3.673 Å, intensity 30.2, hkl 0 1 -3
2θ = 27.9°, 3.196 Å, intensity 52.1, hkl 0 2 -2
2θ = 28.1°, 3.175 Å, intensity 26.1, hkl 0 0 4
2θ = 32.3°, 2.775 Å, intensity 100.0, hkl 2 0 0
2θ = 32.4°, 2.765 Å, intensity 61.0, hkl 1 2 -2
2θ = 32.6°, 2.750 Å, intensity 19.0, hkl 1 0 -4
2θ = 43.1°, 2.099 Å, intensity 19.0, hkl 2 2 2
2θ = 43.2°, 2.094 Å, intensity 30.1, hkl 2 0 4
2θ = 49.3°, 1.849 Å, intensity 26.2, hkl 0 4 0
2θ = 49.6°, 1.837 Å, intensity 52.8, hkl 0 2 -6
2θ = 60.1°, 1.539 Å, intensity 18.0, hkl 2 4 0


[7]
For Ca3GeO4F, DFT lattice parameters and positions (GGA-PBE) gives the theoretical powder X-ray diffraction pattern in this record (a wavelength of 1.5418 Å).
No peak broadening, texture or thermal motion is included.

Cell and atoms:
```
data_Ca3GeO4F
_space_group_name_H-M_alt 'P n m a'
_space_group_IT_number 62
_cell_length_a 5.398
_cell_length_b 7.511
_cell_length_c 13.301
_cell_angle_alpha 90.00
_cell_angle_beta 90.00
_cell_angle_gamma 90.00
loop_
_space_group_symop_operation_xyz
'x,y,z'
'-x,-y,-z'
'-x+1/2,-y,z+1/2'
'x+1/2,y,-z+1/2'
'x+1/2,-y+1/2,-z+1/2'
'-x+1/2,y+1/2,z+1/2'
'-x,y+1/2,-z'
'x,-y+1/2,z'
loop_
_atom_site_label
_atom_site_type_symbol
_atom_site_fract_x
_atom_site_fract_y
_atom_site_fract_z
_atom_site_occupancy
Ca1 Ca 0.232 0.006 0.170 1
Ca2 Ca 0.241 0.750 0.913 1
Ge1 Ge 0.219 0.750 0.418 1
O1 O 0.135 0.250 0.582 1
O2 O 0.196 0.250 0.060 1
O3 O 0.205 0.041 0.843 1
F1 F 0.000 0.250 0.267 1
```

Peak list (12 most intense, 10° ≤ 2θ ≤ 90°, low angle first)
2θ = 21.3°, 4.163 Å, intensity 25.7, hkl 1 1 1
2θ = 23.3°, 3.818 Å, intensity 22.5, hkl 0 1 3
2θ = 26.8°, 3.325 Å, intensity 31.2, hkl 0 0 4
2θ = 27.3°, 3.270 Å, intensity 69.4, hkl 0 2 2
2θ = 31.6°, 2.831 Å, intensity 52.9, hkl 1 0 4
2θ = 32.0°, 2.797 Å, intensity 100.0, hkl 1 2 2
2θ = 33.2°, 2.699 Å, intensity 70.5, hkl 2 0 0
2θ = 43.2°, 2.096 Å, intensity 22.5, hkl 2 0 4
2θ = 43.5°, 2.082 Å, intensity 50.3, hkl 2 2 2
2θ = 47.6°, 1.909 Å, intensity 71.4, hkl 0 2 6
2θ = 48.5°, 1.878 Å, intensity 35.9, hkl 0 4 0
2θ = 59.3°, 1.559 Å, intensity 42.7, hkl 2 2 6